The following is a computed powder X-ray diffraction pattern of BaTbIn. It was derived from a structure optimized by DFT (GGA-PBE), using Cu Kα.
Peak positions follow from Bragg's law for the DFT cell and can differ from measured ones.

Unit cell a=4.0153 b=4.0153 c=28.4794 alpha=90.00 beta=90.00 gamma=90.00
Space group I4/mmm (No. 139)
Unique sites:
Ba  0.0000  0.0000  0.0755 x4
Tb  0.0000  0.0000  0.2129 x4
In  0.0000  0.0000  0.3419 x4

Largest 8 diffraction maxima, by angle, 2θ = 10–80°:
2θ (°)	I_rel
22.36	13
31.30	100
31.51	57
36.14	16
45.16	21
55.58	13
55.97	38
74.77	9